1.
Starting from DFT lattice parameters and positions (GGA-PBE), the X-ray powder pattern of SrCuH3 was calculated for CuKα.
Intensities are scaled so that the largest is 100.

The 12 most intense peaks (10 to 80 degrees two-theta), by angle:
- d = 3.210 Å, rel. 100.0
- d = 3.061 Å, rel. 15.1
- d = 3.048 Å, rel. 17.0
- d = 2.950 Å, rel. 23.0
- d = 2.547 Å, rel. 30.0
- d = 2.540 Å, rel. 41.4
- d = 2.482 Å, rel. 19.9
- d = 2.424 Å, rel. 25.8
- d = 2.297 Å, rel. 25.8
- d = 1.836 Å, rel. 14.1
- d = 1.667 Å, rel. 16.2
- d = 1.450 Å, rel. 12.8

Cell and atoms:
```
data_SrCuH3
_symmetry_space_group_name_H-M 'P 1'
_symmetry_Int_Tables_number 1
_cell_length_a 4.5950
_cell_length_b 4.8478
_cell_length_c 6.3693
_cell_angle_alpha 67.87
_cell_angle_beta 89.99
_cell_angle_gamma 89.97
loop_
_symmetry_equiv_pos_as_xyz
'x,y,z'
loop_
_atom_site_label
_atom_site_fract_x
_atom_site_fract_y
_atom_site_fract_z
_atom_site_occupancy
Sr1 0.0000 0.0000 0.0000 1
Sr2 0.5003 0.3157 0.4546 1
Cu1 0.0014 0.7971 0.5458 1
Cu2 0.5009 0.6064 0.8479 1
H1 0.0002 0.1305 0.3383 1
H2 0.0001 0.5657 0.4247 1
H3 0.2510 0.8556 0.7090 1
H4 0.4999 0.2658 0.8785 1
H5 0.5000 0.6923 0.0748 1
H6 0.7504 0.8552 0.7086 1
```

=====

2.
Starting from DFT lattice parameters and positions (GGA-PBE), the X-ray powder pattern of RbYCd17 was calculated for CuKα.
Intensities are scaled so that the largest is 100.

The 12 most intense peaks (10 to 80 degrees two-theta), by angle:
- d = 5.127 Å, rel. 12.5
- d = 2.960 Å, rel. 32.0
- d = 2.882 Å, rel. 25.7
- d = 2.564 Å, rel. 44.0
- d = 2.554 Å, rel. 100.0
- d = 2.526 Å, rel. 29.8
- d = 2.504 Å, rel. 32.3
- d = 2.286 Å, rel. 65.0
- d = 2.266 Å, rel. 19.6
- d = 1.480 Å, rel. 14.5
- d = 1.469 Å, rel. 13.1
- d = 1.464 Å, rel. 17.8

Cell and atoms:
```
data_RbYCd17
_symmetry_space_group_name_H-M 'P 1'
_symmetry_Int_Tables_number 1
_cell_length_a 7.7833
_cell_length_b 7.7833
_cell_length_c 7.7833
_cell_angle_alpha 82.41
_cell_angle_beta 82.41
_cell_angle_gamma 82.41
loop_
_symmetry_equiv_pos_as_xyz
'x,y,z'
loop_
_atom_site_label
_atom_site_fract_x
_atom_site_fract_y
_atom_site_fract_z
_atom_site_occupancy
Rb1 0.0000 0.0000 0.0000 1
Y1 0.3340 0.3340 0.3340 1
Cd1 0.0400 0.0400 0.4684 1
Cd2 0.0400 0.4684 0.0400 1
Cd3 0.1437 0.6797 0.6797 1
Cd4 0.3143 0.3143 0.7883 1
Cd5 0.3143 0.7883 0.3143 1
Cd6 0.3683 0.6597 0.9612 1
Cd7 0.3683 0.9612 0.6597 1
Cd8 0.4684 0.0400 0.0400 1
Cd9 0.5549 0.5549 0.5549 1
Cd10 0.6597 0.3683 0.9612 1
Cd11 0.6597 0.9612 0.3683 1
Cd12 0.6797 0.1437 0.6797 1
Cd13 0.6797 0.6797 0.1437 1
Cd14 0.7532 0.7532 0.7532 1
Cd15 0.7883 0.3143 0.3143 1
Cd16 0.9612 0.3683 0.6597 1
Cd17 0.9612 0.6597 0.3683 1
```

=====

3.
Starting from DFT lattice parameters and positions (GGA-PBE), the X-ray powder pattern of NiSb was calculated for CuKα.
Intensities are scaled so that the largest is 100.

The 12 most intense peaks (10 to 80 degrees two-theta), by angle:
- d = 5.942 Å, rel. 38.6
- d = 3.348 Å, rel. 43.5
- d = 2.971 Å, rel. 13.7
- d = 2.708 Å, rel. 100.0
- d = 2.464 Å, rel. 51.6
- d = 2.040 Å, rel. 65.4
- d = 1.968 Å, rel. 82.9
- d = 1.641 Å, rel. 14.4
- d = 1.592 Å, rel. 19.0
- d = 1.464 Å, rel. 24.9
- d = 1.416 Å, rel. 19.1
- d = 1.238 Å, rel. 15.9

Cell and atoms:
```
data_NiSb
_symmetry_space_group_name_H-M 'P 1'
_symmetry_Int_Tables_number 1
_cell_length_a 6.3614
_cell_length_b 6.3614
_cell_length_c 6.3614
_cell_angle_alpha 36.05
_cell_angle_beta 36.05
_cell_angle_gamma 36.05
loop_
_symmetry_equiv_pos_as_xyz
'x,y,z'
loop_
_atom_site_label
_atom_site_fract_x
_atom_site_fract_y
_atom_site_fract_z
_atom_site_occupancy
Ni1 0.1465 0.1465 0.1465 1
Ni2 0.8535 0.8535 0.8535 1
Sb1 0.4125 0.4125 0.4125 1
Sb2 0.5875 0.5875 0.5875 1
```